Computed X-ray diffraction stick pattern
Compound: PmSmYTh2
Radiation: Cu Kα (weighted mean of Kα1 and Kα2)
Structure: a PBE-relaxed structure
Peak positions follow from Bragg's law for the DFT cell and can differ from measured ones.

Crystal structure
Unit cell a=6.6996 b=15.8014 c=6.7113 alpha=90.00 beta=90.00 gamma=90.00
Space group Cmcm (No. 63)
Unique sites:
Pm: 0.0000 0.1509 0.2500 x4
Sm: 0.0000 0.2579 0.7500 x4
Y: 0.0000 0.3478 0.2500 x4
Th: 0.2481 0.5000 0.0000 x8

Main lines, in order of rising 2θ (2θ from 10° to 90°):
hkl 0 2 0, 11.2 deg, d 7.901, intensity 22; hkl 0 4 0, 22.5 deg, d 3.950, intensity 17; hkl 1 3 1, 25.3 deg, d 3.524, intensity 15; hkl 2 2 0, 28.9 deg, d 3.086, intensity 100; hkl 0 6 0, 34.1 deg, d 2.631, intensity 30; hkl 2 4 0, 35.1 deg, d 2.556, intensity 32; hkl 2 0 2, 38.0 deg, d 2.371, intensity 38; hkl 2 6 2, 51.9 deg, d 1.761, intensity 24; hkl 4 2 2, 63.1 deg, d 1.473, intensity 23; hkl 2 10 0, 65.3 deg, d 1.429, intensity 15